[1]
Computed X-ray powder pattern of Li4H5Rh for Cu Kα (λ = 1.5418 Å), from DFT lattice parameters and positions (PBE).
Intensities are scaled so that the largest is 100.

Main lines, in order of falling intensity (10 to 90 degrees two-theta):
2θ = 19.13°, 4.641 Å, I = 100
2θ = 26.62°, 3.349 Å, I = 87
2θ = 38.41°, 2.344 Å, I = 79
2θ = 27.18°, 3.281 Å, I = 47
2θ = 43.61°, 2.075 Å, I = 26
2θ = 54.83°, 1.674 Å, I = 15
2θ = 50.86°, 1.795 Å, I = 14
2θ = 47.68°, 1.907 Å, I = 13
2θ = 63.10°, 1.473 Å, I = 13
2θ = 55.69°, 1.650 Å, I = 12

Structure:
a = 5.0271 Å, b = 5.0271 Å, c = 9.2924 Å
α = 90.00°, β = 90.00°, γ = 134.43°
Fractional positions:
Li 0.0793 0.9207 0.6146
Li 0.0793 0.9207 0.8854
Li 0.3695 0.6305 0.5919
Li 0.3695 0.6305 0.9081
Li 0.6305 0.3695 0.0919
Li 0.6305 0.3695 0.4081
Li 0.9207 0.0793 0.1146
Li 0.9207 0.0793 0.3854
H 0.1357 0.8643 0.1091
H 0.1357 0.8643 0.3909
H 0.2333 0.7667 0.7500
H 0.4042 0.5958 0.1201
H 0.4042 0.5958 0.3799
H 0.5958 0.4042 0.6201
H 0.5958 0.4042 0.8799
H 0.7667 0.2333 0.2500
H 0.8643 0.1357 0.6091
H 0.8643 0.1357 0.8909
Rh 0.2679 0.7321 0.2500
Rh 0.7321 0.2679 0.7500

---

[2]
Computed X-ray powder pattern of Dy2AlZn for Cu Kα (λ = 1.5418 Å), from DFT lattice parameters and positions (PBE).
Intensities are scaled so that the largest is 100.

Main lines, in order of falling intensity (10 to 90 degrees two-theta):
2θ = 35.34°, 2.540 Å, I = 100
2θ = 63.43°, 1.467 Å, I = 36
2θ = 24.78°, 3.592 Å, I = 34
2θ = 50.84°, 1.796 Å, I = 18
2θ = 85.48°, 1.136 Å, I = 16
2θ = 57.35°, 1.607 Å, I = 14
2θ = 74.75°, 1.270 Å, I = 11
2θ = 43.64°, 2.074 Å, I = 10
2θ = 80.15°, 1.197 Å, I = 7
2θ = 21.42°, 4.148 Å, I = 3

Structure:
a = 7.1845 Å, b = 7.1845 Å, c = 7.1845 Å
α = 90.00°, β = 90.00°, γ = 90.00°
Fractional positions:
Dy 0.2500 0.2500 0.2500
Dy 0.2500 0.2500 0.7500
Dy 0.2500 0.7500 0.2500
Dy 0.2500 0.7500 0.7500
Dy 0.7500 0.2500 0.2500
Dy 0.7500 0.2500 0.7500
Dy 0.7500 0.7500 0.2500
Dy 0.7500 0.7500 0.7500
Al 0.0000 0.0000 0.0000
Al 0.0000 0.5000 0.5000
Al 0.5000 0.0000 0.5000
Al 0.5000 0.5000 0.0000
Zn 0.0000 0.0000 0.5000
Zn 0.0000 0.5000 0.0000
Zn 0.5000 0.0000 0.0000
Zn 0.5000 0.5000 0.5000

---

[3]
Computed X-ray powder pattern of Pa3Al for Cu Kα (λ = 1.5418 Å), from DFT lattice parameters and positions (PBE).
Intensities are scaled so that the largest is 100.

Main lines, in order of falling intensity (10 to 90 degrees two-theta):
2θ = 34.42°, 2.605 Å, I = 100
2θ = 39.96°, 2.256 Å, I = 50
2θ = 57.79°, 1.595 Å, I = 35
2θ = 69.06°, 1.360 Å, I = 28
2θ = 22.03°, 4.035 Å, I = 24
2θ = 68.96°, 1.362 Å, I = 14
2θ = 72.57°, 1.303 Å, I = 12
2θ = 19.65°, 4.518 Å, I = 8
2θ = 46.11°, 1.969 Å, I = 7
2θ = 35.85°, 2.505 Å, I = 7

Structure:
a = 4.5101 Å, b = 4.5101 Å, c = 9.0363 Å
α = 90.00°, β = 90.00°, γ = 90.00°
Fractional positions:
Pa 0.0000 0.0000 0.0000
Pa 0.0000 0.5000 0.2500
Pa 0.0000 0.5000 0.7500
Pa 0.5000 0.0000 0.2500
Pa 0.5000 0.0000 0.7500
Pa 0.5000 0.5000 0.5000
Al 0.0000 0.0000 0.5000
Al 0.5000 0.5000 0.0000